# Ac2Ga5Ni4
Calculated powder XRD pattern, λ = 1.5418 Å (Cu Kα). Input: DFT lattice parameters and positions (GGA-PBE).

Cell and atoms:
```
11
Lattice="0.0000 4.8714 7.6019 2.7484 0.0000 7.6019 2.7484 4.8714 0.0000" Properties=species:S:1:pos:R:3 pbc="T T T"
Ac 2.7484 4.8714 2.0985
Ac 2.7484 4.8714 13.1054
Ga 1.3742 2.4357 0.0000
Ga 1.3742 2.4357 3.8010
Ga 1.3742 2.4357 7.6019
Ga 2.7484 4.8714 7.6019
Ga 4.1227 7.3070 11.4029
Ni 2.7484 3.3521 5.6303
Ni 2.7484 3.3521 9.5736
Ni 2.7484 6.3906 5.6303
Ni 2.7484 6.3906 9.5736
```

Most intense lines, 2θ = 5–70°, low angle first:
- d 3.480, I 69
- d 2.997, I 60
- d 2.750, I 68
- d 2.448, I 100
- d 2.394, I 56
- d 2.227, I 73
- d 1.900, I 26
- d 1.715, I 26